For AcHo2O4, a crystal structure in OQMD, relaxed with GGA-PBE gives the theoretical PXRD pattern in this record (λ = 1.5418 Å (Cu Kα)).

Lattice parameters (Å, degrees): 6.958 6.958 6.958 60.00 60.00 60.00
Positions (direct):
1 Ac 0.125 0.125 0.125
2 Ac 0.875 0.875 0.875
3 Ho 0.000 0.500 0.500
4 Ho 0.500 0.000 0.500
5 Ho 0.500 0.500 0.000
6 Ho 0.500 0.500 0.500
7 O 0.267 0.267 0.267
8 O 0.267 0.267 0.698
9 O 0.267 0.698 0.267
10 O 0.302 0.733 0.733
11 O 0.698 0.267 0.267
12 O 0.733 0.302 0.733
13 O 0.733 0.733 0.302
14 O 0.733 0.733 0.733

Largest 6 diffraction maxima, low angle first, 2θ = 15–90°:
two_theta	intensity
25.6	37.8
30.1	100.0
31.5	20.5
48.0	40.7
52.6	38.0
74.0	23.2